Starting from a DFT-relaxed cell (GGA-PBE, Alexandria), the X-ray powder pattern of NaLiHo2S4 was calculated for Cu Kα.

Main lines, sorted by position (10 to 90 degrees two-theta):
- 2θ 13.78, rel. 98.7
- 2θ 26.51, rel. 41.9
- 2θ 26.62, rel. 16.5
- 2θ 27.67, rel. 19.6
- 2θ 27.84, rel. 19.2
- 2θ 32.15, rel. 100.0
- 2θ 35.05, rel. 13.6
- 2θ 46.10, rel. 47.2
- 2θ 48.32, rel. 12.4
- 2θ 57.13, rel. 12.2
- 2θ 57.51, rel. 12.0
- 2θ 76.50, rel. 20.4

Structure:
Unit cell a=7.875 b=7.875 c=7.875 alpha=120.32 beta=119.72 gamma=89.97
Element x y z (fractional)
Na 0.500 0.000 0.000
Na 0.500 0.500 0.500
Li 0.000 0.000 0.000
Li 0.500 0.000 0.500
Ho 0.000 0.000 0.500
Ho 0.000 0.500 0.000
Ho 0.000 0.500 0.500
Ho 0.500 0.500 0.000
S 0.235 0.746 0.488
S 0.242 0.254 0.988
S 0.245 0.250 0.506
S 0.245 0.739 0.994
S 0.755 0.261 0.006
S 0.755 0.750 0.494
S 0.758 0.746 0.012
S 0.765 0.254 0.512



Starting from a DFT-relaxed cell (GGA-PBE, Alexandria), the X-ray powder pattern of HoCuTe was calculated for Cu Kα.

Main lines, sorted by position (10 to 90 degrees two-theta):
- 2θ 15.56, rel. 23.4
- 2θ 26.37, rel. 100.0
- 2θ 30.42, rel. 10.0
- 2θ 35.86, rel. 43.6
- 2θ 37.90, rel. 25.3
- 2θ 42.54, rel. 50.7
- 2θ 44.54, rel. 30.1
- 2θ 45.56, rel. 9.5
- 2θ 50.75, rel. 16.5
- 2θ 56.82, rel. 11.5
- 2θ 68.31, rel. 13.4
- 2θ 77.86, rel. 8.3

Structure:
Unit cell a=7.362 b=4.250 c=11.657 alpha=90.00 beta=102.27 gamma=90.00
Element x y z (fractional)
Ho 0.099 0.000 0.299
Ho 0.401 0.500 0.701
Ho 0.599 0.500 0.299
Ho 0.901 0.000 0.701
Cu 0.181 0.000 0.541
Cu 0.319 0.500 0.459
Cu 0.681 0.500 0.541
Cu 0.819 0.000 0.459
Te 0.116 0.500 0.845
Te 0.384 0.000 0.155
Te 0.616 0.000 0.845
Te 0.884 0.500 0.155



Starting from a DFT-relaxed cell (GGA-PBE, Alexandria), the X-ray powder pattern of NdPaAu was calculated for Cu Kα.

Main lines, sorted by position (10 to 90 degrees two-theta):
- 2θ 25.51, rel. 19.6
- 2θ 32.87, rel. 94.0
- 2θ 35.67, rel. 100.0
- 2θ 44.37, rel. 28.2
- 2θ 49.28, rel. 30.6
- 2θ 52.41, rel. 10.3
- 2θ 62.31, rel. 30.5
- 2θ 64.08, rel. 18.7
- 2θ 65.02, rel. 32.5
- 2θ 75.55, rel. 11.7
- 2θ 84.86, rel. 13.3
- 2θ 87.30, rel. 15.3

Structure:
Unit cell a=5.034 b=5.034 c=6.983 alpha=90.00 beta=90.00 gamma=120.00
Element x y z (fractional)
Nd 0.000 0.000 0.225
Nd 0.000 0.000 0.775
Pa 0.333 0.667 0.500
Pa 0.667 0.333 0.500
Au 0.333 0.667 0.000
Au 0.667 0.333 0.000